No. 1
Diffraction record for Nd2Tl3Cd. The PXRD pattern is calculated, not measured: it uses a crystal structure in Alexandria, relaxed with PBE and Cu Kα (λ = 1.5418 Å).
Intensities are scaled so that the largest is 100.

Top 10 peaks for 2θ = 10–80°, sorted by position:
| 2θ (°) | I_rel |
| --- | --- |
| 24.12 | 14.0 |
| 31.52 | 100.0 |
| 34.99 | 91.1 |
| 42.95 | 18.6 |
| 47.80 | 31.5 |
| 49.41 | 11.6 |
| 60.56 | 20.6 |
| 60.65 | 10.4 |
| 61.97 | 35.1 |
| 62.70 | 11.2 |

Crystal structure
```
Nd2Tl3Cd
1.0
0.0000 5.1366 8.8722
3.6891 0.0000 8.8722
3.6891 5.1366 0.0000
Nd Tl Cd
4 6 2
direct
0.2483 0.7517 0.7517 Nd
0.2500 0.2500 0.2500 Nd
0.7500 0.7500 0.7500 Nd
0.7517 0.2483 0.2483 Nd
0.1692 0.6610 0.3390 Tl
0.1696 0.1696 0.8304 Tl
0.3390 0.8308 0.1692 Tl
0.6610 0.1692 0.8308 Tl
0.8304 0.8304 0.1696 Tl
0.8308 0.3390 0.6610 Tl
0.3334 0.3334 0.6666 Cd
0.6666 0.6666 0.3334 Cd
```

No. 2
Diffraction record for Nd8Tl3Cd2. The PXRD pattern is calculated, not measured: it uses a crystal structure in Alexandria, relaxed with PBE and Cu Kα (λ = 1.5418 Å).
Intensities are scaled so that the largest is 100.

Top 10 peaks for 2θ = 10–80°, sorted by position:
| 2θ (°) | I_rel |
| --- | --- |
| 10.64 | 18.6 |
| 30.70 | 38.5 |
| 31.22 | 63.9 |
| 32.73 | 88.3 |
| 33.42 | 100.0 |
| 37.88 | 19.3 |
| 44.35 | 28.3 |
| 56.53 | 18.6 |
| 56.98 | 22.6 |
| 61.38 | 27.5 |

Crystal structure
```
Nd8Tl3Cd2
1.0
4.4372 -8.3130 0.0000
4.4372 8.3130 0.0000
0.0000 0.0000 5.7294
Nd Tl Cd
8 3 2
direct
0.1058 0.8942 0.0000 Nd
0.1783 0.4101 0.5000 Nd
0.3141 0.6859 0.0000 Nd
0.4101 0.1783 0.5000 Nd
0.5899 0.8217 0.5000 Nd
0.6859 0.3141 0.0000 Nd
0.8217 0.5899 0.5000 Nd
0.8942 0.1058 0.0000 Nd
0.0000 0.0000 0.5000 Tl
0.3244 0.3244 0.0000 Tl
0.6756 0.6756 0.0000 Tl
0.2220 0.7780 0.5000 Cd
0.7780 0.2220 0.5000 Cd
```

No. 3
Diffraction record for Nd3Tl3Cd. The PXRD pattern is calculated, not measured: it uses a crystal structure in Alexandria, relaxed with PBE and Cu Kα (λ = 1.5418 Å).
Intensities are scaled so that the largest is 100.

Top 10 peaks for 2θ = 10–80°, sorted by position:
| 2θ (°) | I_rel |
| --- | --- |
| 28.87 | 43.8 |
| 29.32 | 21.4 |
| 29.57 | 100.0 |
| 30.30 | 53.6 |
| 33.79 | 43.1 |
| 35.57 | 99.7 |
| 36.74 | 20.1 |
| 37.31 | 72.8 |
| 48.79 | 26.9 |
| 57.85 | 18.0 |

Crystal structure
```
Nd3Tl3Cd
1.0
5.9114 -2.4103 0.0000
5.9114 2.4103 0.0000
-4.9941 0.0000 14.6772
Nd Tl Cd
6 6 2
direct
0.0325 0.0325 0.3818 Nd
0.0993 0.0993 0.9214 Nd
0.2325 0.2325 0.2204 Nd
0.7675 0.7675 0.7796 Nd
0.9007 0.9007 0.0786 Nd
0.9675 0.9675 0.6182 Nd
0.3663 0.3663 0.4529 Tl
0.3762 0.3762 0.9267 Tl
0.4877 0.4877 0.7697 Tl
0.5123 0.5123 0.2303 Tl
0.6238 0.6238 0.0733 Tl
0.6337 0.6337 0.5471 Tl
0.2631 0.2631 0.6154 Cd
0.7369 0.7369 0.3846 Cd
```

No. 4
Diffraction record for Nd6TlCd6. The PXRD pattern is calculated, not measured: it uses a crystal structure in Alexandria, relaxed with PBE and Cu Kα (λ = 1.5418 Å).
Intensities are scaled so that the largest is 100.

Top 10 peaks for 2θ = 10–80°, sorted by position:
| 2θ (°) | I_rel |
| --- | --- |
| 28.71 | 47.4 |
| 28.84 | 62.6 |
| 31.25 | 39.5 |
| 32.90 | 100.0 |
| 33.43 | 48.4 |
| 37.03 | 74.6 |
| 51.06 | 32.5 |
| 56.67 | 44.0 |
| 59.75 | 34.7 |
| 72.45 | 30.8 |

Crystal structure
```
Nd6TlCd6
1.0
6.1904 0.0000 0.0000
-3.0952 5.3610 0.0000
0.0000 0.0000 11.4495
Nd Tl Cd
6 1 6
direct
0.0000 0.0000 0.1594 Nd
0.0000 0.0000 0.8406 Nd
0.3333 0.6667 0.0000 Nd
0.3333 0.6667 0.5000 Nd
0.6667 0.3333 0.0000 Nd
0.6667 0.3333 0.5000 Nd
0.0000 0.0000 0.5000 Tl
0.0000 0.5000 0.2559 Cd
0.0000 0.5000 0.7441 Cd
0.5000 0.0000 0.2559 Cd
0.5000 0.0000 0.7441 Cd
0.5000 0.5000 0.2559 Cd
0.5000 0.5000 0.7441 Cd
```

No. 5
Diffraction record for Nd3Tl2Cd3. The PXRD pattern is calculated, not measured: it uses a crystal structure in Alexandria, relaxed with PBE and Cu Kα (λ = 1.5418 Å).
Intensities are scaled so that the largest is 100.

Top 10 peaks for 2θ = 10–80°, sorted by position:
| 2θ (°) | I_rel |
| --- | --- |
| 32.28 | 100.0 |
| 34.53 | 21.6 |
| 38.46 | 14.0 |
| 39.22 | 15.3 |
| 53.23 | 12.5 |
| 56.09 | 9.3 |
| 60.41 | 8.3 |
| 60.50 | 8.3 |
| 65.69 | 9.5 |
| 66.74 | 12.2 |

Crystal structure
```
Nd3Tl2Cd3
1.0
9.7114 -2.2972 0.0000
9.7114 2.2972 0.0000
-1.3780 0.0000 5.0089
Nd Tl Cd
3 2 3
direct
0.0000 0.0000 0.0000 Nd
0.1351 0.1351 0.6340 Nd
0.8649 0.8649 0.3660 Nd
0.2406 0.2406 0.2396 Tl
0.7594 0.7594 0.7604 Tl
0.3756 0.3756 0.8773 Cd
0.5000 0.5000 0.5000 Cd
0.6244 0.6244 0.1227 Cd
```

No. 6
Diffraction record for Nd4Tl3Cd. The PXRD pattern is calculated, not measured: it uses a crystal structure in Alexandria, relaxed with PBE and Cu Kα (λ = 1.5418 Å).
Intensities are scaled so that the largest is 100.

Top 10 peaks for 2θ = 10–80°, sorted by position:
| 2θ (°) | I_rel |
| --- | --- |
| 28.80 | 26.3 |
| 29.75 | 100.0 |
| 31.35 | 21.4 |
| 34.04 | 49.0 |
| 35.96 | 37.3 |
| 36.26 | 68.9 |
| 46.02 | 18.7 |
| 58.46 | 20.9 |
| 59.74 | 17.5 |
| 69.25 | 18.4 |

Crystal structure
```
Nd4Tl3Cd
1.0
3.9444 0.0000 0.0000
0.0000 4.9954 0.0000
0.0000 0.0000 12.3998
Nd Tl Cd
4 3 1
direct
0.0000 0.0000 0.0000 Nd
0.0000 0.5000 0.2984 Nd
0.5000 0.0000 0.4945 Nd
0.5000 0.5000 0.7976 Nd
0.0000 0.0000 0.7325 Tl
0.0000 0.5000 0.5639 Tl
0.5000 0.5000 0.0676 Tl
0.5000 0.0000 0.2249 Cd
```

No. 7
Diffraction record for Nd7Tl3Cd. The PXRD pattern is calculated, not measured: it uses a crystal structure in Alexandria, relaxed with PBE and Cu Kα (λ = 1.5418 Å).
Intensities are scaled so that the largest is 100.

Top 10 peaks for 2θ = 10–80°, sorted by position:
| 2θ (°) | I_rel |
| --- | --- |
| 24.44 | 12.8 |
| 30.00 | 100.0 |
| 30.80 | 9.1 |
| 32.52 | 25.6 |
| 34.37 | 97.4 |
| 42.94 | 35.2 |
| 56.01 | 12.6 |
| 56.14 | 21.0 |
| 59.52 | 9.6 |
| 64.21 | 15.7 |

Crystal structure
```
Nd7Tl3Cd
1.0
5.8035 -5.9488 0.0000
5.8035 5.9488 0.0000
-3.0540 0.0000 5.1243
Nd Tl Cd
7 3 1
direct
0.0000 0.0000 0.0000 Nd
0.0978 0.5548 0.3261 Nd
0.3201 0.3201 0.8210 Nd
0.4452 0.9022 0.6739 Nd
0.5548 0.0978 0.3261 Nd
0.6799 0.6799 0.1790 Nd
0.9022 0.4452 0.6739 Nd
0.2663 0.7337 0.0000 Tl
0.5000 0.5000 0.5000 Tl
0.7337 0.2663 0.0000 Tl
0.0000 0.0000 0.5000 Cd
```

No. 8
Diffraction record for Nd6TlCd. The PXRD pattern is calculated, not measured: it uses a crystal structure in Alexandria, relaxed with PBE and Cu Kα (λ = 1.5418 Å).
Intensities are scaled so that the largest is 100.

Top 10 peaks for 2θ = 10–80°, sorted by position:
| 2θ (°) | I_rel |
| --- | --- |
| 19.89 | 1.4 |
| 31.05 | 100.0 |
| 35.97 | 33.8 |
| 36.10 | 16.7 |
| 51.84 | 35.6 |
| 61.62 | 28.2 |
| 61.79 | 14.0 |
| 64.74 | 12.1 |
| 76.27 | 3.8 |
| 76.58 | 1.9 |

Crystal structure
```
Nd6TlCd
1.0
4.9936 0.0000 0.0000
0.0000 4.9936 0.0000
0.0000 0.0000 9.9533
Nd Tl Cd
6 1 1
direct
0.0000 0.0000 0.0000 Nd
0.0000 0.0000 0.5000 Nd
0.0000 0.5000 0.2505 Nd
0.0000 0.5000 0.7495 Nd
0.5000 0.0000 0.2505 Nd
0.5000 0.0000 0.7495 Nd
0.5000 0.5000 0.0000 Tl
0.5000 0.5000 0.5000 Cd
```

No. 9
Diffraction record for Nd4Tl2Cd3. The PXRD pattern is calculated, not measured: it uses a crystal structure in Alexandria, relaxed with PBE and Cu Kα (λ = 1.5418 Å).
Intensities are scaled so that the largest is 100.

Top 10 peaks for 2θ = 10–80°, sorted by position:
| 2θ (°) | I_rel |
| --- | --- |
| 32.11 | 100.0 |
| 33.63 | 93.1 |
| 47.19 | 34.2 |
| 56.27 | 17.7 |
| 59.19 | 34.6 |
| 60.14 | 17.3 |
| 67.17 | 10.3 |
| 70.70 | 10.7 |
| 77.26 | 13.9 |
| 79.78 | 14.6 |

Crystal structure
```
Nd4Tl2Cd3
1.0
4.6146 -2.6654 0.0000
4.6146 2.6654 0.0000
-0.0082 0.0000 10.4899
Nd Tl Cd
4 2 3
direct
0.0000 0.0000 0.1679 Nd
0.0000 0.0000 0.8321 Nd
0.3333 0.3333 0.3847 Nd
0.6667 0.6667 0.6153 Nd
0.3334 0.3334 0.7115 Tl
0.6666 0.6666 0.2885 Tl
0.0000 0.0000 0.5000 Cd
0.3334 0.3334 0.0260 Cd
0.6666 0.6666 0.9740 Cd
```

No. 10
Diffraction record for Nd3TlCd5. The PXRD pattern is calculated, not measured: it uses a crystal structure in Alexandria, relaxed with PBE and Cu Kα (λ = 1.5418 Å).
Intensities are scaled so that the largest is 100.

Top 10 peaks for 2θ = 10–80°, sorted by position:
| 2θ (°) | I_rel |
| --- | --- |
| 11.10 | 6.2 |
| 27.25 | 5.1 |
| 33.60 | 95.0 |
| 33.74 | 100.0 |
| 43.90 | 7.4 |
| 48.36 | 33.0 |
| 56.21 | 7.8 |
| 60.30 | 50.3 |
| 67.19 | 26.3 |
| 70.96 | 10.2 |

Crystal structure
```
Nd3TlCd5
1.0
9.2016 0.0000 0.0000
-4.6008 7.9689 0.0000
0.0000 0.0000 6.5456
Nd Tl Cd
6 2 10
direct
0.0000 0.3214 0.2500 Nd
0.0000 0.6786 0.7500 Nd
0.3214 0.0000 0.2500 Nd
0.3214 0.3214 0.7500 Nd
0.6786 0.0000 0.7500 Nd
0.6786 0.6786 0.2500 Nd
0.0000 0.0000 0.0000 Tl
0.0000 0.0000 0.5000 Tl
0.0000 0.3493 0.7500 Cd
0.0000 0.6507 0.2500 Cd
0.3333 0.6667 0.0000 Cd
0.3333 0.6667 0.5000 Cd
0.3493 0.0000 0.7500 Cd
0.3493 0.3493 0.2500 Cd
0.6507 0.0000 0.2500 Cd
0.6507 0.6507 0.7500 Cd
0.6667 0.3333 0.0000 Cd
0.6667 0.3333 0.5000 Cd
```

No. 11
Diffraction record for NdTm2Tl2Cd2. The PXRD pattern is calculated, not measured: it uses a crystal structure in Alexandria, relaxed with PBE and Cu Kα (λ = 1.5418 Å).
Intensities are scaled so that the largest is 100.

Top 10 peaks for 2θ = 10–80°, sorted by position:
| 2θ (°) | I_rel |
| --- | --- |
| 31.61 | 100.0 |
| 34.37 | 19.9 |
| 35.66 | 98.8 |
| 40.33 | 8.4 |
| 48.38 | 30.6 |
| 53.55 | 7.7 |
| 61.53 | 29.7 |
| 64.06 | 18.0 |
| 65.27 | 12.2 |
| 75.53 | 11.2 |

Crystal structure
```
NdTm2Tl2Cd2
1.0
2.5177 1.4536 8.6834
-2.5177 1.4536 8.6834
0.0000 -2.9072 8.6834
Nd Tm Tl Cd
1 2 2 2
direct
0.0000 0.0000 0.0000 Nd
0.1349 0.1349 0.1349 Tm
0.8651 0.8651 0.8651 Tm
0.2669 0.2669 0.2669 Tl
0.7331 0.7331 0.7331 Tl
0.4353 0.4353 0.4353 Cd
0.5647 0.5647 0.5647 Cd
```

No. 12
Diffraction record for Nd8Tm5Cd. The PXRD pattern is calculated, not measured: it uses a crystal structure in Alexandria, relaxed with PBE and Cu Kα (λ = 1.5418 Å).
Intensities are scaled so that the largest is 100.

Top 10 peaks for 2θ = 10–80°, sorted by position:
| 2θ (°) | I_rel |
| --- | --- |
| 30.30 | 21.3 |
| 30.93 | 38.0 |
| 31.15 | 71.7 |
| 31.53 | 47.6 |
| 31.73 | 37.6 |
| 32.05 | 70.5 |
| 32.49 | 100.0 |
| 33.92 | 26.9 |
| 36.47 | 19.2 |
| 48.18 | 17.6 |

Crystal structure
```
Nd8Tm5Cd
1.0
7.2416 -4.4804 0.0000
7.2416 4.4804 0.0000
-5.5141 0.0000 7.2299
Nd Tm Cd
8 5 1
direct
0.0099 0.5192 0.6560 Nd
0.0699 0.0699 0.4179 Nd
0.1926 0.4578 0.3491 Nd
0.3254 0.2076 0.9513 Nd
0.4808 0.9901 0.3440 Nd
0.5422 0.8074 0.6509 Nd
0.7924 0.6746 0.0487 Nd
0.9301 0.9301 0.5821 Nd
0.2133 0.6822 0.1186 Tm
0.3178 0.7867 0.8814 Tm
0.5069 0.3256 0.7606 Tm
0.6744 0.4931 0.2394 Tm
0.9254 0.0746 0.0000 Tm
0.6642 0.3358 0.5000 Cd
```